Starting from a DFT-relaxed cell (GGA+U, Alexandria), the powder diffractogram of Li2VPO4F was calculated for Cu Kα (weighted mean of Kα1 and Kα2).
No peak broadening, texture or thermal motion is included.

Crystal structure
```
data_Li2VPO4F
_space_group_name_H-M_alt 'C 1 2 1'
_space_group_IT_number 5
_cell_length_a 7.345
_cell_length_b 8.062
_cell_length_c 7.428
_cell_angle_alpha 90.00
_cell_angle_beta 116.70
_cell_angle_gamma 90.00
loop_
_space_group_symop_operation_xyz
'x,y,z'
'-x,y,-z'
'x+1/2,y+1/2,z'
'-x+1/2,y+1/2,-z'
loop_
_atom_site_label
_atom_site_type_symbol
_atom_site_fract_x
_atom_site_fract_y
_atom_site_fract_z
_atom_site_occupancy
Li1 Li 0.127 0.000 0.405 1
Li2 Li 0.188 0.363 0.184 1
V1 V 0.000 0.651 0.249 1
P1 P 0.000 0.007 0.000 1
P2 P 0.000 0.298 0.500 1
O1 O 0.073 0.897 0.873 1
O2 O 0.087 0.412 0.388 1
O3 O 0.173 0.179 0.637 1
O4 O 0.175 0.117 0.154 1
F1 F 0.000 0.519 0.000 1
F2 F 0.000 0.794 0.500 1
```

The 8 most intense peaks (10 to 90 degrees two-theta), in order of rising 2θ:
| 2θ/deg | I_rel | hkl |
| --- | --- | --- |
| 17.43 | 30 | 1 1 0 |
| 25.50 | 27 | 1 1 1 |
| 25.86 | 41 | 0 2 1 |
| 26.47 | 100 | 1 1 -2 |
| 27.18 | 65 | 2 0 0 |
| 33.02 | 25 | 2 2 -1 |
| 35.03 | 32 | 0 2 2 |
| 54.05 | 27 | 2 4 -2 |